# CsReBr6
Calculated powder diffractogram, a wavelength of 1.5418 Å. Input: a cell relaxed with GGA-PBE.

The 10 most intense peaks (10° ≤ 2θ ≤ 90°), most intense first:
- 2θ 29.83, d 2.995, I 100, hkl 2 2 -1
- 2θ 16.91, d 5.243, I 49, hkl 1 1 1
- 2θ 30.94, d 2.890, I 42, hkl 3 1 2
- 2θ 15.59, d 5.684, I 34, hkl 1 1 -1
- 2θ 46.21, d 1.965, I 27, hkl 1 3 3
- 2θ 17.47, d 5.077, I 25, hkl 2 0 -2
- 2θ 38.93, d 2.313, I 22, hkl 3 1 -5
- 2θ 40.68, d 2.218, I 20, hkl 5 1 1
- 2θ 13.62, d 6.502, I 19, hkl 0 0 2
- 2θ 29.07, d 3.072, I 18, hkl 4 0 -2

Structural model:
Lattice parameters (Å, degrees): 12.7106 6.8600 13.3277 90.00 102.65 90.00
Space group C2/c (No. 15)
Asymmetric unit:
Cs (0.0000, 0.1083, 0.2500)
Re (0.2500, 0.2500, 0.0000)
Br (0.0755, 0.3798, 0.8976)
Br (0.1558, 0.0510, 0.5380)
Br (0.2133, 0.4110, 0.1576)

# Ba2TlPd3Au12
Calculated powder diffractogram, a wavelength of 1.5418 Å. Input: a cell relaxed with GGA-PBE.

The 10 most intense peaks (10° ≤ 2θ ≤ 90°), most intense first:
- 2θ 28.47, d 3.135, I 100, hkl 0 2 4
- 2θ 39.19, d 2.299, I 89, hkl 2 2 0
- 2θ 42.15, d 2.144, I 81, hkl 2 0 8
- 2θ 20.72, d 4.287, I 74, hkl 1 0 4
- 2θ 43.27, d 2.091, I 68, hkl 2 1 7
- 2θ 36.35, d 2.472, I 56, hkl 3 0 3
- 2θ 38.34, d 2.348, I 49, hkl 0 2 7
- 2θ 24.56, d 3.624, I 48, hkl 0 1 5
- 2θ 11.93, d 7.415, I 38, hkl 1 0 1
- 2θ 14.12, d 6.271, I 35, hkl 0 1 2

Structural model:
Lattice parameters (Å, degrees): 9.1946 9.1946 20.3508 90.00 90.00 120.00
Space group R-3m (No. 166, hexagonal axes)
Asymmetric unit:
Ba (0.0000, 0.0000, 0.1110)
Tl (0.0000, 0.0000, 0.5000)
Pd (0.0000, 0.5000, 0.0000)
Au (0.0055, 0.5028, 0.1329)
Au (0.1020, 0.5510, 0.3980)

# Cu4Bi3PbSe4O4
Calculated powder diffractogram, a wavelength of 1.5418 Å. Input: a cell relaxed with GGA-PBE.

The 10 most intense peaks (10° ≤ 2θ ≤ 90°), most intense first:
- 2θ 29.54, d 3.024, I 100, hkl 1 1 4
- 2θ 55.37, d 1.659, I 35, hkl 3 1 4
- 2θ 50.89, d 1.794, I 31, hkl 2 0 8
- 2θ 45.71, d 1.985, I 28, hkl 2 2 0
- 2θ 31.88, d 2.807, I 22, hkl 2 0 0
- 2θ 33.33, d 2.688, I 21, hkl 2 0 2
- 2θ 37.38, d 2.405, I 16, hkl 2 0 4
- 2θ 24.37, d 3.653, I 15, hkl 1 1 2
- 2θ 88.43, d 1.105, I 13, hkl 4 2 8
- 2θ 66.64, d 1.403, I 9, hkl 4 0 0

Structural model:
Lattice parameters (Å, degrees): 5.6136 5.6136 18.6690 90.00 90.00 90.00
Space group I4mm (No. 107)
Asymmetric unit:
Cu (0.2494, 0.2494, 0.0000)
Bi (0.0000, 0.0000, 0.8106)
Bi (0.0000, 0.5000, 0.1827)
Pb (0.0000, 0.0000, 0.3251)
Se (0.0000, 0.0000, 0.0831)
Se (0.0000, 0.0000, 0.5817)
Se (0.0000, 0.5000, 0.4198)
O (0.2446, 0.2446, 0.7465)

# DyHo3Pd3
Calculated powder diffractogram, a wavelength of 1.5418 Å. Input: a cell relaxed with GGA-PBE.

The 10 most intense peaks (10° ≤ 2θ ≤ 90°), most intense first:
- 2θ 36.57, d 2.457, I 100, hkl 2 2 0
- 2θ 65.84, d 1.419, I 36, hkl 6 0 0
- 2θ 52.68, d 1.737, I 18, hkl 0 4 2
- 2θ 89.11, d 1.099, I 16, hkl 2 6 2
- 2θ 25.64, d 3.475, I 14, hkl 0 2 1
- 2θ 77.74, d 1.229, I 11, hkl 4 4 0
- 2θ 18.05, d 4.914, I 7, hkl 1 1 0
- 2θ 59.48, d 1.554, I 6, hkl 2 4 1
- 2θ 45.20, d 2.006, I 4, hkl 4 0 1
- 2θ 31.53, d 2.837, I 4, hkl 3 0 0

Structural model:
Lattice parameters (Å, degrees): 9.8330 9.8330 6.0125 90.00 90.00 120.00
Space group R-3m (No. 166, hexagonal axes)
Asymmetric unit:
Dy (0.0000, 0.0000, 0.0000)
Ho (0.0000, 0.5000, 0.0000)
Pd (0.0000, 0.5000, 0.5000)